[1]
Simulated X-ray powder pattern of Ni7Ge for Cu Kα X-rays, from a GGA-PBE-relaxed structure.
No peak broadening, texture or thermal motion is included.

Peak list (10 most intense, 2θ from 5° to 70°, low angle first)
index  two_theta  I_rel
0 0 2  5.27  100
0 0 3  7.91  19
0 0 4  10.55  18
0 1 11  39.08  4
0 1 13  43.49  40
1 1 0  44.20  81
0 1 14  45.82  36
1 0 13  50.63  26
0 2 0  51.94  24
1 0 14  52.72  23

Structural model:
Cell: 2.521 3.523 33.527 Å, 90.00 90.00 90.00°
Space group Pmmn (No. 59, origin choice 2)
Symmetry-distinct sites (fractional):
Ni (0.250, 0.250, 0.018) [2 per cell]
Ni (0.250, 0.250, 0.092) [2 per cell]
Ni (0.250, 0.250, 0.166) [2 per cell]
Ni (0.250, 0.250, 0.241) [2 per cell]
Ni (0.250, 0.250, 0.797) [2 per cell]
Ni (0.250, 0.250, 0.871) [2 per cell]
Ni (0.250, 0.250, 0.945) [2 per cell]
Ge (0.250, 0.250, 0.723) [2 per cell]

=====

[2]
Simulated X-ray powder pattern of Sr7Pt3 for Cu Kα X-rays, from a GGA-PBE-relaxed structure.
No peak broadening, texture or thermal motion is included.

Peak list (10 most intense, 2θ from 5° to 70°, low angle first)
index  two_theta  I_rel
1 2 1  18.23  100
1 3 1  19.99  59
1 4 1  22.22  49
1 3 2  29.60  93
1 7 1  30.74  59
0 6 2  33.48  62
2 1 2  33.97  72
2 7 0  34.25  59
3 0 1  36.13  60
1 4 3  42.40  52

Structural model:
Cell: 7.957 24.339 7.125 Å, 90.00 90.00 90.00°
Space group Pnma (No. 62)
Symmetry-distinct sites (fractional):
Sr (0.042, 0.118, 0.152) [8 per cell]
Sr (0.169, 0.022, 0.677) [8 per cell]
Sr (0.176, 0.750, 0.646) [4 per cell]
Sr (0.180, 0.174, 0.683) [8 per cell]
Pt (0.022, 0.750, 0.035) [4 per cell]
Pt (0.121, 0.595, 0.463) [8 per cell]

=====

[3]
Simulated X-ray powder pattern of GdHo2Al3Si2Ir for Cu Kα X-rays, from a GGA-PBE-relaxed structure.
No peak broadening, texture or thermal motion is included.

Peak list (10 most intense, 2θ from 5° to 70°, low angle first)
index  two_theta  I_rel
1 0 0  21.05  60
0 0 2  25.78  30
0 2 2  29.85  56
1 0 2  33.51  51
1 2 2  36.81  100
0 5 1  39.84  21
2 0 0  42.85  23
0 3 3  45.46  31
2 2 2  53.10  23
1 2 4  59.93  21

Structural model:
Cell: 4.221 11.987 6.905 Å, 90.00 90.00 90.00°
Space group Amm2 (No. 38)
Symmetry-distinct sites (fractional):
Gd (0.000, 0.000, 0.000) [2 per cell]
Ho (0.000, 0.208, 0.624) [4 per cell]
Al (0.500, 0.000, 0.649) [2 per cell]
Al (0.500, 0.117, 0.301) [4 per cell]
Si (0.500, 0.168, 0.917) [4 per cell]
Ir (0.000, 0.000, 0.420) [2 per cell]

=====

[4]
Simulated X-ray powder pattern of DyIrNO for Cu Kα X-rays, from a GGA-PBE-relaxed structure.
No peak broadening, texture or thermal motion is included.

Peak list (10 most intense, 2θ from 5° to 70°, low angle first)
index  two_theta  I_rel
0 1 0  11.29  49
0 2 0  22.70  42
1 1 1  26.11  59
2 0 0  32.57  41
1 2 1  32.87  100
0 3 0  34.32  64
0 1 2  36.18  63
2 1 1  38.74  51
2 3 0  48.03  39
2 1 2  49.46  34

Structural model:
Cell: 5.498 7.836 5.235 Å, 90.00 90.00 90.00°
Space group Pca2_1 (No. 29)
Symmetry-distinct sites (fractional):
Dy (0.024, 0.143, 0.000) [4 per cell]
Ir (0.078, 0.474, 0.672) [4 per cell]
N (0.135, 0.346, 0.338) [4 per cell]
O (0.250, 0.978, 0.246) [4 per cell]

=====

[5]
Simulated X-ray powder pattern of HoLuSiGeOs for Cu Kα X-rays, from a GGA-PBE-relaxed structure.
No peak broadening, texture or thermal motion is included.

Peak list (10 most intense, 2θ from 5° to 70°, low angle first)
index  two_theta  I_rel
0 0 1  10.19  48
1 1 -2  27.62  30
3 1 -1  32.93  35
3 1 -2  33.51  59
1 1 2  33.87  100
1 1 -3  34.81  29
2 0 -4  36.38  28
3 1 -3  37.18  64
3 1 1  40.93  79
0 2 0  42.36  60

Structural model:
Cell: 10.682 4.268 9.880 Å, 90.00 118.52 90.00°
Space group C2/m (No. 12)
Symmetry-distinct sites (fractional):
Ho (0.007, 0.000, 0.182) [4 per cell]
Lu (0.181, 0.000, 0.609) [4 per cell]
Si (0.005, 0.500, 0.378) [4 per cell]
Ge (0.142, 0.500, 0.063) [4 per cell]
Os (0.226, 0.500, 0.863) [4 per cell]

=====

[6]
Simulated X-ray powder pattern of YErTl4 for Cu Kα X-rays, from a GGA-PBE-relaxed structure.
No peak broadening, texture or thermal motion is included.

Peak list (10 most intense, 2θ from 5° to 70°, low angle first)
index  two_theta  I_rel
1 1 3  32.78  100
0 0 6  37.05  17
0 2 0  38.43  17
2 0 0  38.61  17
0 2 6  54.45  11
2 2 0  55.62  12
1 1 9  64.09  12
1 3 3  65.96  14
3 1 3  66.21  13
2 2 6  68.72  11

Structural model:
Cell: 4.663 4.684 14.560 Å, 90.00 90.00 90.00°
Space group Amm2 (No. 38)
Symmetry-distinct sites (fractional):
Y (0.000, 0.000, 0.000) [2 per cell]
Er (0.000, 0.000, 0.310) [2 per cell]
Tl (0.000, 0.000, 0.656) [2 per cell]
Tl (0.500, 0.000, 0.156) [2 per cell]
Tl (0.500, 0.000, 0.479) [2 per cell]
Tl (0.500, 0.000, 0.831) [2 per cell]

=====

[7]
Simulated X-ray powder pattern of NdCo2GeB for Cu Kα X-rays, from a GGA-PBE-relaxed structure.
No peak broadening, texture or thermal motion is included.

Peak list (10 most intense, 2θ from 5° to 70°, low angle first)
index  two_theta  I_rel
1 0 1  25.23  49
0 0 4  33.87  26
1 0 3  34.94  92
1 1 2  38.00  100
2 0 0  48.64  53
1 0 5  49.45  19
2 1 1  55.57  12
2 0 4  60.59  11
2 1 3  61.28  35
1 1 6  63.35  24

Structural model:
Cell: 3.744 3.744 10.586 Å, 90.00 90.00 90.00°
Space group I4mm (No. 107)
Symmetry-distinct sites (fractional):
Nd (0.000, 0.000, 0.000) [2 per cell]
Co (0.000, 0.500, 0.277) [4 per cell]
Ge (0.000, 0.000, 0.646) [2 per cell]
B (0.000, 0.000, 0.349) [2 per cell]

=====

[8]
Simulated X-ray powder pattern of GdTmTlNi2 for Cu Kα X-rays, from a GGA-PBE-relaxed structure.
No peak broadening, texture or thermal motion is included.

Peak list (10 most intense, 2θ from 5° to 70°, low angle first)
index  two_theta  I_rel
0 1 3  29.50  52
1 1 1  34.12  100
1 0 4  34.92  70
0 0 6  37.48  16
0 1 5  38.87  33
0 2 0  46.55  22
2 0 0  49.70  19
1 1 7  56.45  21
2 1 3  58.86  16
1 2 4  59.49  30

Structural model:
Cell: 3.669 3.902 14.398 Å, 90.00 90.00 90.00°
Space group Amm2 (No. 38)
Symmetry-distinct sites (fractional):
Gd (0.000, 0.000, 0.000) [2 per cell]
Tm (0.000, 0.000, 0.279) [2 per cell]
Tl (0.500, 0.000, 0.641) [2 per cell]
Ni (0.500, 0.000, 0.436) [2 per cell]
Ni (0.500, 0.000, 0.837) [2 per cell]